Diffraction record for La3Tm2Tl. The powder diffractogram is theoretical, not measured: it uses a DFT-relaxed cell (GGA-PBE, Alexandria) and a wavelength of 1.5418 Å.
Lines closer than 0.1° are merged.

Atomic structure:
a b c (Å): 6.615 6.739 10.143
angles (deg): 101.19 100.22 114.21
Space group P-1 (No. 2)
Inequivalent atoms, fractional coordinates:
La 0.107 0.365 0.261
La 0.230 0.441 0.943
La 0.330 0.545 0.618
Tm 0.202 0.943 0.403
Tm 0.289 0.010 0.067
Tl 0.383 0.111 0.733

Top 12 peaks for 10° ≤ 2θ ≤ 90°, by intensity:
(2 -2 0), d = 2.803 Å, 2θ = 31.93°, intensity 1000
(-1 1 3), d = 2.758 Å, 2θ = 32.47°, intensity 913
(1 -1 3), d = 2.770 Å, 2θ = 32.32°, intensity 874
(2 0 -2), d = 2.862 Å, 2θ = 31.25°, intensity 760
(0 2 -2), d = 2.912 Å, 2θ = 30.70°, intensity 743
(2 0 1), d = 2.569 Å, 2θ = 34.93°, intensity 469
(0 2 0), d = 2.934 Å, 2θ = 30.47°, intensity 400
(2 2 -2), d = 1.813 Å, 2θ = 50.34°, intensity 314
(2 0 0), d = 2.890 Å, 2θ = 30.95°, intensity 264
(3 -1 1), d = 2.006 Å, 2θ = 45.21°, intensity 258
(0 2 1), d = 2.596 Å, 2θ = 34.56°, intensity 211
(1 3 1), d = 1.531 Å, 2θ = 60.45°, intensity 211